# Mn3P2O8
Calculated powder diffraction line list, Cu Kα. Input: a DFT-relaxed cell (PBE+U, the Materials Project).
Peak positions follow from Bragg's law for the DFT cell and can differ from measured ones.

Structure:
Cell: 9.001 11.621 6.347 Å, 90.00 99.28 90.00°
Space group P2_1/c (No. 14)
Unique sites:
Mn1 0.067 0.117 0.137
Mn2 0.274 0.077 0.667
Mn3 0.364 0.693 0.622
P1 0.092 0.637 0.888
P2 0.395 0.088 0.193
O1 0.058 0.203 0.603
O2 0.072 0.566 0.676
O3 0.130 0.564 0.093
O4 0.223 0.723 0.872
O5 0.275 0.086 0.987
O6 0.302 0.126 0.367
O7 0.468 0.534 0.740
O8 0.481 0.678 0.329

Top 10 peaks for 10° ≤ 2θ ≤ 90°, sorted by position:
(1 3 0), 2θ = 25.1°, rel. 94; (1 0 -2), 2θ = 28.7°, rel. 41; (1 3 1), 2θ = 29.7°, rel. 70; (2 2 1), 2θ = 30.6°, rel. 100; (0 4 0), 2θ = 30.8°, rel. 24; (3 1 -1), 2θ = 32.2°, rel. 68; (3 1 1), 2θ = 36.4°, rel. 21; (0 6 1), 2θ = 49.2°, rel. 18; (4 4 -1), 2θ = 52.0°, rel. 17; (4 1 -3), 2θ = 55.9°, rel. 19

# MnPO4
Calculated powder diffraction line list, Cu Kα. Input: a DFT-relaxed cell (PBE+U, the Materials Project).
Peak positions follow from Bragg's law for the DFT cell and can differ from measured ones.

Structure:
Cell: 5.392 5.396 6.274 Å, 102.94 102.88 118.70°
Space group P1 (No. 1)
Unique sites:
Mn1 0.000 0.000 0.000
Mn2 0.241 0.759 0.501
P1 0.332 0.668 0.001
P2 0.583 0.417 0.501
O1 0.166 0.319 0.882
O2 0.198 0.756 0.180
O3 0.242 0.802 0.821
O4 0.270 0.319 0.318
O5 0.546 0.195 0.626
O6 0.679 0.730 0.682
O7 0.681 0.835 0.119
O8 0.806 0.455 0.375

Top 10 peaks for 10° ≤ 2θ ≤ 90°, sorted by position:
(1 0 0), 2θ = 20.4°, rel. 100; (1 -1 1), 2θ = 24.8°, rel. 68; (1 0 -2), 2θ = 30.4°, rel. 40; (0 0 2), 2θ = 31.7°, rel. 21; (1 -2 1), 2θ = 34.2°, rel. 74; (1 1 0), 2θ = 36.3°, rel. 32; (2 0 0), 2θ = 41.4°, rel. 15; (-2 1 3), 2θ = 52.9°, rel. 33; (-3 1 2), 2θ = 54.2°, rel. 13; (1 1 2), 2θ = 59.6°, rel. 13

# MnP4O12
Calculated powder diffraction line list, Cu Kα. Input: a DFT-relaxed cell (PBE+U, the Materials Project).
Peak positions follow from Bragg's law for the DFT cell and can differ from measured ones.

Structure:
Cell: 7.356 7.397 9.859 Å, 93.85 110.96 111.80°
Space group P-1 (No. 2)
Unique sites:
Mn1 0.000 0.000 0.000
Mn2 0.000 0.500 0.500
P1 0.008 0.339 0.811
P2 0.262 0.740 0.025
P3 0.288 0.266 0.533
P4 0.489 0.312 0.314
O1 0.038 0.155 0.848
O2 0.043 0.654 0.350
O3 0.103 0.818 0.934
O4 0.125 0.340 0.437
O5 0.182 0.648 0.151
O6 0.216 0.536 0.918
O7 0.220 0.099 0.604
O8 0.287 0.683 0.646
O9 0.329 0.201 0.160
O10 0.402 0.218 0.433
O11 0.486 0.462 0.658
O12 0.496 0.868 0.096

Top 10 peaks for 10° ≤ 2θ ≤ 90°, sorted by position:
(0 1 0), 2θ = 13.2°, rel. 45; (1 0 0), 2θ = 14.2°, rel. 43; (0 1 -1), 2θ = 14.6°, rel. 42; (0 1 1), 2θ = 18.3°, rel. 52; (1 0 -2), 2θ = 19.0°, rel. 47; (1 -1 1), 2θ = 19.3°, rel. 85; (0 0 2), 2θ = 19.8°, rel. 47; (2 0 -2), 2θ = 27.3°, rel. 42; (1 1 1), 2θ = 28.7°, rel. 100; (1 1 -3), 2θ = 30.1°, rel. 84

# Mn2P2O9
Calculated powder diffraction line list, Cu Kα. Input: a DFT-relaxed cell (PBE+U, the Materials Project).
Peak positions follow from Bragg's law for the DFT cell and can differ from measured ones.

Structure:
Cell: 13.838 6.217 7.663 Å, 90.00 90.00 90.00°
Space group Pnma (No. 62)
Unique sites:
Mn1 0.000 0.000 0.000
Mn2 0.125 0.250 0.354
P1 0.063 0.750 0.354
P2 0.190 0.750 0.896
O1 0.014 0.750 0.162
O2 0.015 0.250 0.510
O3 0.047 0.250 0.138
O4 0.126 0.545 0.908
O5 0.129 0.554 0.356
O6 0.226 0.250 0.533
O7 0.247 0.250 0.226

Top 10 peaks for 10° ≤ 2θ ≤ 90°, sorted by position:
(2 0 0), 2θ = 12.8°, rel. 90; (1 0 1), 2θ = 13.2°, rel. 30; (2 0 1), 2θ = 17.3°, rel. 89; (0 1 1), 2θ = 18.4°, rel. 36; (1 1 1), 2θ = 19.5°, rel. 88; (3 0 1), 2θ = 22.5°, rel. 80; (1 0 2), 2θ = 24.1°, rel. 100; (3 0 2), 2θ = 30.3°, rel. 39; (1 2 1), 2θ = 31.7°, rel. 84; (5 2 3), 2θ = 57.3°, rel. 27

# MnPO4
Calculated powder diffraction line list, Cu Kα. Input: a DFT-relaxed cell (PBE+U, the Materials Project).
Peak positions follow from Bragg's law for the DFT cell and can differ from measured ones.

Structure:
Cell: 5.007 9.775 8.452 Å, 90.00 123.91 90.00°
Space group P2_1/c (No. 14)
Unique sites:
Mn1 0.163 0.122 0.450
P1 0.117 0.594 0.752
O1 0.028 0.059 0.195
O2 0.157 0.188 0.892
O3 0.161 0.585 0.956
O4 0.441 0.639 0.790

Top 10 peaks for 10° ≤ 2θ ≤ 90°, sorted by position:
(0 1 1), 2θ = 15.5°, rel. 100; (1 0 0), 2θ = 21.4°, rel. 61; (1 0 -2), 2θ = 22.2°, rel. 36; (1 1 -2), 2θ = 24.1°, rel. 57; (1 1 1), 2θ = 31.9°, rel. 21; (2 0 -2), 2θ = 35.9°, rel. 27; (0 4 0), 2θ = 36.8°, rel. 38; (2 1 -1), 2θ = 38.8°, rel. 15; (0 2 3), 2θ = 42.9°, rel. 16; (3 1 -1), 2θ = 61.3°, rel. 14

# MnPO4
Calculated powder diffraction line list, Cu Kα. Input: a DFT-relaxed cell (PBE+U, the Materials Project).
Peak positions follow from Bragg's law for the DFT cell and can differ from measured ones.

Structure:
Cell: 5.624 6.330 9.709 Å, 76.62 79.74 76.69°
Space group P-1 (No. 2)
Unique sites:
Mn1 0.129 0.105 0.174
Mn2 0.274 0.176 0.578
P1 0.185 0.699 0.549
P2 0.316 0.832 0.915
O1 0.050 0.210 0.356
O2 0.101 0.732 0.401
O3 0.153 0.663 0.926
O4 0.183 0.030 0.802
O5 0.302 0.899 0.060
O6 0.306 0.460 0.609
O7 0.379 0.851 0.540
O8 0.413 0.242 0.145

Top 10 peaks for 10° ≤ 2θ ≤ 90°, sorted by position:
(0 1 0), 2θ = 14.7°, rel. 100; (0 1 -1), 2θ = 19.0°, rel. 69; (0 1 2), 2θ = 21.6°, rel. 55; (1 0 2), 2θ = 23.4°, rel. 45; (1 -1 2), 2θ = 31.3°, rel. 27; (0 2 2), 2θ = 31.9°, rel. 27; (2 1 1), 2θ = 32.7°, rel. 23; (2 0 0), 2θ = 33.0°, rel. 30; (1 2 -1), 2θ = 34.8°, rel. 19; (1 0 5), 2θ = 49.4°, rel. 24